Diffraction record for La5Dy3Cu4O16. The powder X-ray diffraction pattern is calculated, not measured: it uses the PBE geometry in the Materials Project and Cu Kα (λ = 1.5418 Å).
Intensities are scaled so that the largest is 100.

Top 8 peaks for 2θ from 10° to 90°, low angle first:
- 24.1°, rel. 20.5, hkl 1 0 2
- 31.6°, rel. 100.0, hkl 1 0 6
- 32.7°, rel. 49.1, hkl 1 1 0
- 44.0°, rel. 20.6, hkl 1 1 8
- 47.0°, rel. 29.5, hkl 2 0 0
- 55.4°, rel. 12.4, hkl 1 1 12
- 57.7°, rel. 36.0, hkl 2 1 6
- 68.6°, rel. 8.9, hkl 2 2 0

Structure:
```
28
Lattice="3.8683 0.0000 0.0000 0.0000 3.8683 0.0000 0.0000 0.0000 24.9958" Properties=species:S:1:pos:R:3 pbc="T T T"
La 0.0000 0.0000 0.0000
La 0.0000 0.0000 3.6639
La 0.0000 0.0000 16.0836
La 1.9341 1.9341 6.5593
La 1.9341 1.9341 18.9874
Dy 0.0000 0.0000 12.4705
Dy 1.9341 1.9341 10.1622
Dy 1.9341 1.9341 22.5460
Cu 0.0000 0.0000 8.3264
Cu 0.0000 0.0000 20.7723
Cu 1.9341 1.9341 1.9375
Cu 1.9341 1.9341 14.3064
O 0.0000 0.0000 5.9610
O 0.0000 0.0000 18.3817
O 0.0000 1.9341 1.9124
O 0.0000 1.9341 8.3514
O 0.0000 1.9341 11.3165
O 0.0000 1.9341 14.2841
O 0.0000 1.9341 20.7675
O 0.0000 1.9341 23.6780
O 1.9341 0.0000 1.9124
O 1.9341 0.0000 8.3514
O 1.9341 0.0000 11.3165
O 1.9341 0.0000 14.2841
O 1.9341 0.0000 20.7675
O 1.9341 0.0000 23.6780
O 1.9341 1.9341 4.2667
O 1.9341 1.9341 16.6898
```



Diffraction record for Sc5As3. The powder X-ray diffraction pattern is calculated, not measured: it uses the PBE geometry in the Materials Project and Cu Kα (λ = 1.5418 Å).
Intensities are scaled so that the largest is 100.

Top 8 peaks for 2θ from 10° to 90°, low angle first:
- 26.3°, rel. 27.4, hkl 1 2 1
- 27.7°, rel. 39.5, hkl 3 0 1
- 34.0°, rel. 88.0, hkl 1 2 2
- 35.1°, rel. 38.9, hkl 3 0 2
- 35.5°, rel. 100.0, hkl 4 0 1
- 37.1°, rel. 79.7, hkl 2 2 2
- 40.1°, rel. 44.5, hkl 4 2 0
- 44.3°, rel. 42.5, hkl 0 4 0

Structure:
```
32
Lattice="10.7652 0.0000 0.0000 0.0000 8.1874 0.0000 0.0000 0.0000 7.2642" Properties=species:S:1:pos:R:3 pbc="T T T"
Sc 0.0433 2.0469 0.2191
Sc 0.7639 0.4286 5.0225
Sc 0.7639 3.6651 5.0225
Sc 2.2261 6.1406 2.5438
Sc 2.4036 2.0469 2.4242
Sc 2.9791 6.1406 6.0563
Sc 3.1565 2.0469 6.1759
Sc 4.6187 4.5223 1.3904
Sc 4.6187 7.7588 1.3904
Sc 5.3394 6.1406 3.8512
Sc 5.4259 2.0469 3.4130
Sc 6.1465 0.4286 5.8738
Sc 6.1465 3.6651 5.8738
Sc 7.6087 6.1406 1.0883
Sc 7.7862 2.0469 1.2079
Sc 8.3617 6.1406 4.8400
Sc 8.5391 2.0469 4.7204
Sc 10.0013 4.5223 2.2417
Sc 10.0013 7.7588 2.2417
Sc 10.7220 6.1406 7.0451
As 0.1875 6.1406 4.2349
As 1.8552 4.1755 0.4679
As 1.8552 8.1057 0.4679
As 3.5274 0.0817 4.1001
As 3.5274 4.0120 4.1001
As 5.1951 2.0469 0.6028
As 5.5702 6.1406 6.6614
As 7.2379 4.1755 3.1642
As 7.2379 8.1057 3.1642
As 8.9100 0.0817 6.7963
As 8.9100 4.0120 6.7963
As 10.5777 2.0469 3.0293
```



Diffraction record for PmMg. The powder X-ray diffraction pattern is calculated, not measured: it uses the PBE geometry in the Materials Project and Cu Kα (λ = 1.5418 Å).
Intensities are scaled so that the largest is 100.

Top 8 peaks for 2θ from 10° to 90°, low angle first:
- 23.0°, rel. 59.8, hkl 1 0 0
- 32.8°, rel. 100.0, hkl 1 1 0
- 40.5°, rel. 18.5, hkl 1 1 1
- 47.1°, rel. 18.2, hkl 2 0 0
- 53.0°, rel. 25.5, hkl 2 1 0
- 58.5°, rel. 37.7, hkl 2 1 1
- 73.6°, rel. 12.2, hkl 3 0 0
- 78.3°, rel. 16.0, hkl 3 1 0

Structure:
```
2
Lattice="3.8622 0.0000 0.0000 0.0000 3.8622 0.0000 0.0000 0.0000 3.8622" Properties=species:S:1:pos:R:3 pbc="T T T"
Pm 0.0000 0.0000 0.0000
Mg 1.9311 1.9311 1.9311
```